No. 1
Computed powder X-ray diffraction pattern
Compound: Li6I2NF
Radiation: copper Kα
Structure: a DFT-relaxed cell (PBE, Alexandria)
No peak broadening, texture or thermal motion is included.

Atomic structure:
Cell lengths 6.372, 7.949, 7.101 Å; angles 90.00, 90.00, 90.00 degrees
Space group Pmmn (No. 59, origin choice 2)
One atom of each set of equivalent atoms:
Li (0.028, 0.250, 0.006)
Li (0.042, 0.250, 0.620)
Li (0.250, 0.501, 0.801)
I (0.250, 0.011, 0.313)
N (0.250, 0.250, 0.818)
F (0.250, 0.750, 0.873)

The 6 most intense peaks (10 to 90 degrees two-theta), in order of falling intensity:
2theta	intensity
29.32	100.0
18.71	88.3
28.79	38.5
44.52	37.3
28.01	35.1
22.37	32.4

=====

No. 2
Computed powder X-ray diffraction pattern
Compound: Na2LiIF6
Radiation: copper Kα
Structure: a DFT-relaxed cell (PBE, Alexandria)
No peak broadening, texture or thermal motion is included.

Atomic structure:
Cell lengths 11.223, 5.554, 5.300 Å; angles 90.00, 115.96, 90.00 degrees
Space group C2 (No. 5)
One atom of each set of equivalent atoms:
Na (0.245, 0.000, 0.251)
Li (0.000, 0.570, 0.000)
I (0.000, 0.045, 0.500)
F (0.094, 0.288, 0.834)
F (0.100, 0.799, 0.798)
F (0.159, 0.645, 0.320)

The 6 most intense peaks (10 to 90 degrees two-theta), in order of falling intensity:
2theta	intensity
29.66	100.0
18.23	95.5
19.22	67.2
28.86	60.2
31.09	50.5
23.21	50.4